1.
This entry pairs a crystal structure of La3CeIr3 with its calculated powder diffractogram. Radiation: Cu Kα (weighted mean of Kα1 and Kα2). Structure: DFT lattice parameters and positions (PBE).
Peak positions follow from Bragg's law for the DFT cell and can differ from measured ones.

Top 12 peaks for 2θ from 5° to 70°, in order of falling intensity:
| 2θ/deg | Rel. int. | h k l |
| --- | --- | --- |
| 36.88 | 100 | 2 -1 6 |
| 35.86 | 80 | 3 0 0 |
| 20.47 | 43 | 1 1 0 |
| 31.92 | 39 | 3 -1 1 |
| 33.13 | 25 | 3 -2 2 |
| 30.33 | 24 | 0 0 6 |
| 52.40 | 23 | 2 2 6 |
| 47.68 | 22 | 0 3 6 |
| 67.09 | 22 | 1 1 12 |
| 50.86 | 17 | 3 1 5 |
| 37.65 | 17 | 3 -1 4 |
| 25.50 | 14 | 2 -1 3 |

Atomic structure:
a = 8.6757 Å, b = 8.6757 Å, c = 17.6797 Å
α = 90.00°, β = 90.00°, γ = 120.00°
Space group R-3 (No. 148, hexagonal axes)
Inequivalent atoms, fractional coordinates:
La 0.0224 0.7346 0.1010
Ce 0.0000 0.0000 0.3214
Ir 0.0142 0.6265 0.9360

***

2.
This entry pairs a crystal structure of MgFeTc2 with its calculated powder diffractogram. Radiation: Cu Kα (weighted mean of Kα1 and Kα2). Structure: DFT lattice parameters and positions (PBE).
Peak positions follow from Bragg's law for the DFT cell and can differ from measured ones.

Top 12 peaks for 2θ from 5° to 70°, in order of falling intensity:
| 2θ/deg | Rel. int. | h k l |
| --- | --- | --- |
| 42.01 | 100 | 1 1 2 |
| 19.92 | 27 | 0 0 2 |
| 41.35 | 27 | 0 2 0 |
| 40.48 | 24 | 0 0 4 |
| 59.25 | 15 | 0 2 4 |
| 36.59 | 14 | 1 1 0 |
| 22.68 | 11 | 0 1 1 |
| 55.70 | 11 | 0 1 5 |
| 62.55 | 8 | 2 0 0 |
| 43.07 | 7 | 1 0 3 |
| 46.31 | 6 | 0 2 2 |
| 61.24 | 4 | 1 2 3 |

Atomic structure:
a = 2.9697 Å, b = 4.3667 Å, c = 8.9132 Å
α = 90.00°, β = 90.00°, γ = 90.00°
Space group Immm (No. 71)
Inequivalent atoms, fractional coordinates:
Mg 0.0000 0.0000 0.0000
Fe 0.0000 0.0000 0.5000
Tc 0.0000 0.5000 0.2306